1.
This entry pairs a crystal structure of Rb2NiF4 with its theoretical PXRD pattern. Radiation: Cu Kα X-rays. Structure: DFT lattice parameters and positions (PBE+U).
Intensities are scaled so that the largest is 1000.

Most intense lines, 10° ≤ 2θ ≤ 90°, by angle:
28.9 deg, intensity 1000
30.5 deg, intensity 694
39.0 deg, intensity 208
40.3 deg, intensity 265
43.6 deg, intensity 436
50.2 deg, intensity 192
53.2 deg, intensity 364
59.9 deg, intensity 249

```
data_Rb2NiF4
_chemical_formula_sum 'Rb2 Ni1 F4'
_symmetry_space_group_name_H-M 'P 1'
_symmetry_Int_Tables_number 1
_cell_length_a 7.5316
_cell_length_b 7.5316
_cell_length_c 7.5316
_cell_angle_alpha 148.03
_cell_angle_beta 148.03
_cell_angle_gamma 45.85
loop_
_symmetry_equiv_pos_as_xyz
'x,y,z'
loop_
_atom_site_label
_atom_site_fract_x
_atom_site_fract_y
_atom_site_fract_z
Rb1 0.1469 0.1469 0.0000
Rb2 0.8531 0.8531 0.0000
Ni1 0.5000 0.5000 0.0000
F1 0.0000 0.5000 0.5000
F2 0.3537 0.3537 0.0000
F3 0.5000 0.0000 0.5000
F4 0.6463 0.6463 0.0000
```



2.
This entry pairs a crystal structure of RbNiF5 with its theoretical PXRD pattern. Radiation: Cu Kα X-rays. Structure: DFT lattice parameters and positions (PBE+U).
Intensities are scaled so that the largest is 1000.

Most intense lines, 10° ≤ 2θ ≤ 90°, by angle:
22.2 deg, intensity 585
25.9 deg, intensity 1000
27.1 deg, intensity 209
33.9 deg, intensity 289
34.7 deg, intensity 266
35.3 deg, intensity 645
44.8 deg, intensity 258
53.5 deg, intensity 286

```
data_RbNiF5
_chemical_formula_sum 'Rb2 Ni2 F10'
_symmetry_space_group_name_H-M 'P 1'
_symmetry_Int_Tables_number 1
_cell_length_a 5.5263
_cell_length_b 5.5263
_cell_length_c 8.0905
_cell_angle_alpha 110.21
_cell_angle_beta 110.21
_cell_angle_gamma 73.19
loop_
_symmetry_equiv_pos_as_xyz
'x,y,z'
loop_
_atom_site_label
_atom_site_fract_x
_atom_site_fract_y
_atom_site_fract_z
Rb1 0.0006 0.9994 0.7500
Rb2 0.9994 0.0006 0.2500
Ni1 0.5000 0.5000 0.0000
Ni2 0.5000 0.5000 0.5000
F1 0.1513 0.5380 0.9236
F2 0.1507 0.5427 0.4250
F3 0.4573 0.8493 0.0750
F4 0.4620 0.8487 0.5764
F5 0.4995 0.5005 0.2500
F6 0.5005 0.4995 0.7500
F7 0.5380 0.1513 0.4236
F8 0.5427 0.1507 0.9250
F9 0.8493 0.4573 0.5750
F10 0.8487 0.4620 0.0764
```



3.
This entry pairs a crystal structure of RbNiF4 with its theoretical PXRD pattern. Radiation: Cu Kα X-rays. Structure: DFT lattice parameters and positions (PBE+U).
Intensities are scaled so that the largest is 1000.

Most intense lines, 10° ≤ 2θ ≤ 90°, by angle:
27.6 deg, intensity 1000
29.0 deg, intensity 300
33.4 deg, intensity 443
47.9 deg, intensity 247
50.6 deg, intensity 292
56.2 deg, intensity 338
57.0 deg, intensity 131
72.2 deg, intensity 223

```
data_RbNiF4
_chemical_formula_sum 'Rb2 Ni2 F8'
_symmetry_space_group_name_H-M 'P 1'
_symmetry_Int_Tables_number 1
_cell_length_a 5.3692
_cell_length_b 5.3692
_cell_length_c 6.1543
_cell_angle_alpha 90.00
_cell_angle_beta 90.00
_cell_angle_gamma 90.00
loop_
_symmetry_equiv_pos_as_xyz
'x,y,z'
loop_
_atom_site_label
_atom_site_fract_x
_atom_site_fract_y
_atom_site_fract_z
Rb1 0.0000 0.5000 0.0000
Rb2 0.5000 0.0000 0.0000
Ni1 0.0000 0.0000 0.5000
Ni2 0.5000 0.5000 0.5000
F1 0.0000 0.0000 0.2071
F2 0.0000 0.0000 0.7929
F3 0.1875 0.3125 0.5000
F4 0.3125 0.8125 0.5000
F5 0.5000 0.5000 0.2071
F6 0.5000 0.5000 0.7929
F7 0.6875 0.1875 0.5000
F8 0.8125 0.6875 0.5000
```



4.
This entry pairs a crystal structure of RbTl3Ni2F9 with its theoretical PXRD pattern. Radiation: Cu Kα X-rays. Structure: DFT lattice parameters and positions (PBE+U).
Intensities are scaled so that the largest is 1000.

Most intense lines, 10° ≤ 2θ ≤ 90°, by angle:
10.3 deg, intensity 297
20.2 deg, intensity 444
27.1 deg, intensity 1000
30.2 deg, intensity 909
35.9 deg, intensity 260
36.6 deg, intensity 293
41.0 deg, intensity 562
51.7 deg, intensity 350

```
data_RbTl3Ni2F9
_chemical_formula_sum 'Rb1 Tl3 Ni2 F9'
_symmetry_space_group_name_H-M 'P 1'
_symmetry_Int_Tables_number 1
_cell_length_a 5.9234
_cell_length_b 5.9234
_cell_length_c 8.5936
_cell_angle_alpha 90.00
_cell_angle_beta 90.00
_cell_angle_gamma 120.00
loop_
_symmetry_equiv_pos_as_xyz
'x,y,z'
loop_
_atom_site_label
_atom_site_fract_x
_atom_site_fract_y
_atom_site_fract_z
Rb1 0.0000 0.0000 0.0000
Tl1 0.0000 0.0000 0.5000
Tl2 0.3333 0.6667 0.2310
Tl3 0.6667 0.3333 0.7690
Ni1 0.3333 0.6667 0.6364
Ni2 0.6667 0.3333 0.3636
F1 0.0000 0.5000 0.5000
F2 0.1660 0.3320 0.7485
F3 0.1660 0.8340 0.7485
F4 0.3320 0.1660 0.2515
F5 0.5000 0.0000 0.5000
F6 0.5000 0.5000 0.5000
F7 0.6680 0.8340 0.7485
F8 0.8340 0.1660 0.2515
F9 0.8340 0.6680 0.2515
```



5.
This entry pairs a crystal structure of NiRhF5 with its theoretical PXRD pattern. Radiation: Cu Kα X-rays. Structure: DFT lattice parameters and positions (PBE+U).
Intensities are scaled so that the largest is 1000.

Most intense lines, 10° ≤ 2θ ≤ 90°, by angle:
17.7 deg, intensity 362
17.9 deg, intensity 475
24.5 deg, intensity 213
25.2 deg, intensity 1000
26.4 deg, intensity 665
39.5 deg, intensity 433
44.9 deg, intensity 281
55.7 deg, intensity 205

```
data_NiRhF5
_chemical_formula_sum 'Ni2 Rh2 F10'
_symmetry_space_group_name_H-M 'P 1'
_symmetry_Int_Tables_number 1
_cell_length_a 5.3453
_cell_length_b 5.3453
_cell_length_c 7.9143
_cell_angle_alpha 110.32
_cell_angle_beta 110.32
_cell_angle_gamma 85.79
loop_
_symmetry_equiv_pos_as_xyz
'x,y,z'
loop_
_atom_site_label
_atom_site_fract_x
_atom_site_fract_y
_atom_site_fract_z
Ni1 0.0967 0.9033 0.7500
Ni2 0.9033 0.0967 0.2500
Rh1 0.0000 0.5000 0.0000
Rh2 0.5000 0.0000 0.5000
F1 0.1788 0.6140 0.8536
F2 0.1909 0.2375 0.5036
F3 0.2063 0.7937 0.2500
F4 0.2375 0.1909 0.0036
F5 0.3860 0.8212 0.6464
F6 0.6140 0.1788 0.3536
F7 0.7625 0.8091 0.9964
F8 0.7937 0.2063 0.7500
F9 0.8091 0.7625 0.4964
F10 0.8212 0.3860 0.1464
```



6.
This entry pairs a crystal structure of Ni3RhF8 with its theoretical PXRD pattern. Radiation: Cu Kα X-rays. Structure: DFT lattice parameters and positions (PBE+U).
Intensities are scaled so that the largest is 1000.

Most intense lines, 10° ≤ 2θ ≤ 90°, by angle:
18.7 deg, intensity 1000
23.6 deg, intensity 778
34.4 deg, intensity 441
34.7 deg, intensity 148
39.0 deg, intensity 370
43.8 deg, intensity 625
60.0 deg, intensity 361
60.6 deg, intensity 118

```
data_Ni3RhF8
_chemical_formula_sum 'Ni3 Rh1 F8'
_symmetry_space_group_name_H-M 'P 1'
_symmetry_Int_Tables_number 1
_cell_length_a 5.3833
_cell_length_b 5.3833
_cell_length_c 6.2299
_cell_angle_alpha 90.00
_cell_angle_beta 90.00
_cell_angle_gamma 118.15
loop_
_symmetry_equiv_pos_as_xyz
'x,y,z'
loop_
_atom_site_label
_atom_site_fract_x
_atom_site_fract_y
_atom_site_fract_z
Ni1 0.0000 0.0000 0.0000
Ni2 0.0000 0.5000 0.7606
Ni3 0.5000 0.0000 0.2394
Rh1 0.0000 0.0000 0.5000
F1 0.2196 0.7804 0.0000
F2 0.2213 0.2859 0.7712
F3 0.2210 0.7790 0.5000
F4 0.2859 0.2213 0.2288
F5 0.7141 0.7787 0.2288
F6 0.7790 0.2210 0.5000
F7 0.7787 0.7141 0.7712
F8 0.7804 0.2196 0.0000
```



7.
This entry pairs a crystal structure of NiRuF5 with its theoretical PXRD pattern. Radiation: Cu Kα X-rays. Structure: DFT lattice parameters and positions (PBE+U).
Intensities are scaled so that the largest is 1000.

Most intense lines, 10° ≤ 2θ ≤ 90°, by angle:
17.6 deg, intensity 387
17.8 deg, intensity 467
24.7 deg, intensity 210
25.1 deg, intensity 1000
25.8 deg, intensity 710
39.6 deg, intensity 442
44.4 deg, intensity 293
55.2 deg, intensity 203

```
data_NiRuF5
_chemical_formula_sum 'Ni2 Ru2 F10'
_symmetry_space_group_name_H-M 'P 1'
_symmetry_Int_Tables_number 1
_cell_length_a 5.3843
_cell_length_b 5.3843
_cell_length_c 8.0486
_cell_angle_alpha 110.92
_cell_angle_beta 110.92
_cell_angle_gamma 84.25
loop_
_symmetry_equiv_pos_as_xyz
'x,y,z'
loop_
_atom_site_label
_atom_site_fract_x
_atom_site_fract_y
_atom_site_fract_z
Ni1 0.0961 0.9039 0.7500
Ni2 0.9039 0.0961 0.2500
Ru1 0.0000 0.5000 0.0000
Ru2 0.5000 0.0000 0.5000
F1 0.1624 0.6146 0.8515
F2 0.1919 0.2471 0.4975
F3 0.2045 0.7955 0.2500
F4 0.2471 0.1919 0.9975
F5 0.3854 0.8376 0.6485
F6 0.6146 0.1624 0.3515
F7 0.7529 0.8081 0.0025
F8 0.7955 0.2045 0.7500
F9 0.8081 0.7529 0.5025
F10 0.8376 0.3854 0.1485
```



8.
This entry pairs a crystal structure of ZnNiRuF2 with its theoretical PXRD pattern. Radiation: Cu Kα X-rays. Structure: DFT lattice parameters and positions (PBE+U).
Intensities are scaled so that the largest is 1000.

Most intense lines, 10° ≤ 2θ ≤ 90°, by angle:
28.3 deg, intensity 773
31.1 deg, intensity 1000
33.7 deg, intensity 820
37.2 deg, intensity 573
46.5 deg, intensity 667
48.3 deg, intensity 548
58.6 deg, intensity 589
75.0 deg, intensity 251

```
data_ZnNiRuF2
_chemical_formula_sum 'Zn1 Ni1 Ru1 F2'
_symmetry_space_group_name_H-M 'P 1'
_symmetry_Int_Tables_number 1
_cell_length_a 3.7652
_cell_length_b 3.7652
_cell_length_c 5.7555
_cell_angle_alpha 90.00
_cell_angle_beta 90.00
_cell_angle_gamma 90.00
loop_
_symmetry_equiv_pos_as_xyz
'x,y,z'
loop_
_atom_site_label
_atom_site_fract_x
_atom_site_fract_y
_atom_site_fract_z
Zn1 0.0000 0.0000 0.0000
Ni1 0.0000 0.0000 0.5000
Ru1 0.5000 0.5000 0.5000
F1 0.0000 0.5000 0.0000
F2 0.5000 0.0000 0.0000
```



9.
This entry pairs a crystal structure of NiSeF6 with its theoretical PXRD pattern. Radiation: Cu Kα X-rays. Structure: DFT lattice parameters and positions (PBE+U).
Intensities are scaled so that the largest is 1000.

Most intense lines, 10° ≤ 2θ ≤ 90°, by angle:
23.0 deg, intensity 1000
23.5 deg, intensity 415
33.1 deg, intensity 342
47.1 deg, intensity 222
51.8 deg, intensity 99
53.3 deg, intensity 237
54.0 deg, intensity 175
59.9 deg, intensity 141

```
data_NiSeF6
_chemical_formula_sum 'Ni1 Se1 F6'
_symmetry_space_group_name_H-M 'P 1'
_symmetry_Int_Tables_number 1
_cell_length_a 5.4083
_cell_length_b 5.4083
_cell_length_c 5.3211
_cell_angle_alpha 119.43
_cell_angle_beta 119.43
_cell_angle_gamma 62.46
loop_
_symmetry_equiv_pos_as_xyz
'x,y,z'
loop_
_atom_site_label
_atom_site_fract_x
_atom_site_fract_y
_atom_site_fract_z
Ni1 0.0000 0.0000 0.0000
Se1 0.5000 0.5000 0.5000
F1 0.1939 0.6847 0.1942
F2 0.2547 0.2547 0.3764
F3 0.3153 0.8061 0.8058
F4 0.6847 0.1939 0.1942
F5 0.7453 0.7453 0.6236
F6 0.8061 0.3153 0.8058
```



10.
This entry pairs a crystal structure of NiSeF3 with its theoretical PXRD pattern. Radiation: Cu Kα X-rays. Structure: DFT lattice parameters and positions (PBE+U).
Intensities are scaled so that the largest is 1000.

Most intense lines, 10° ≤ 2θ ≤ 90°, by angle:
30.8 deg, intensity 1000
38.0 deg, intensity 128
44.1 deg, intensity 472
54.8 deg, intensity 389
64.2 deg, intensity 274
72.9 deg, intensity 166
81.2 deg, intensity 87
89.3 deg, intensity 202

```
data_NiSeF3
_chemical_formula_sum 'Ni1 Se1 F3'
_symmetry_space_group_name_H-M 'P 1'
_symmetry_Int_Tables_number 1
_cell_length_a 4.1043
_cell_length_b 4.1043
_cell_length_c 4.1043
_cell_angle_alpha 90.00
_cell_angle_beta 90.00
_cell_angle_gamma 90.00
loop_
_symmetry_equiv_pos_as_xyz
'x,y,z'
loop_
_atom_site_label
_atom_site_fract_x
_atom_site_fract_y
_atom_site_fract_z
Ni1 0.0000 0.0000 0.0000
Se1 0.5000 0.5000 0.5000
F1 0.0000 0.0000 0.5000
F2 0.0000 0.5000 0.0000
F3 0.5000 0.0000 0.0000
```



11.
This entry pairs a crystal structure of SiNi2F8 with its theoretical PXRD pattern. Radiation: Cu Kα X-rays. Structure: DFT lattice parameters and positions (PBE+U).
Intensities are scaled so that the largest is 1000.

Most intense lines, 10° ≤ 2θ ≤ 90°, by angle:
14.5 deg, intensity 266
15.5 deg, intensity 250
25.8 deg, intensity 1000
26.0 deg, intensity 585
27.6 deg, intensity 664
37.0 deg, intensity 253
39.5 deg, intensity 631
63.6 deg, intensity 261

```
data_SiNi2F8
_chemical_formula_sum 'Si1 Ni2 F8'
_symmetry_space_group_name_H-M 'P 1'
_symmetry_Int_Tables_number 1
_cell_length_a 6.9209
_cell_length_b 6.9209
_cell_length_c 3.4207
_cell_angle_alpha 90.03
_cell_angle_beta 90.03
_cell_angle_gamma 124.24
loop_
_symmetry_equiv_pos_as_xyz
'x,y,z'
loop_
_atom_site_label
_atom_site_fract_x
_atom_site_fract_y
_atom_site_fract_z
Si1 0.0000 0.0000 0.0000
Ni1 0.3695 0.6304 0.9489
Ni2 0.6304 0.3695 0.9489
F1 0.0000 0.0000 0.5004
F2 0.0833 0.2811 0.0023
F3 0.2811 0.0833 0.0023
F4 0.2917 0.7090 0.4471
F5 0.4994 0.4994 0.5973
F6 0.7090 0.2917 0.4471
F7 0.7188 0.9165 0.0015
F8 0.9165 0.7188 0.0015
```